Computed powder diffraction line list
Compound: NaTl4F12
Radiation: Cu Ka
Structure: the PBE geometry in Alexandria

Peak list (10 most intense, 10 to 90 degrees two-theta, low angle first)
| 2theta | I/Imax |
| --- | --- |
| 20.5 | 100.0 |
| 21.1 | 42.3 |
| 29.2 | 30.4 |
| 29.6 | 67.4 |
| 36.3 | 27.3 |
| 41.8 | 22.6 |
| 47.0 | 20.8 |
| 47.3 | 23.8 |
| 48.0 | 21.7 |
| 52.0 | 33.1 |

Crystal structure
```
17
Lattice="-4.214 4.322 4.324 4.214 -4.322 4.324 4.214 4.322 -4.324" Properties=species:S:1:pos:R:3 pbc="T T T"
Na 0.000 0.000 0.000
Tl 2.107 2.161 -2.162
Tl 2.107 -2.161 2.162
Tl -2.107 2.161 2.162
Tl 2.107 2.161 2.162
F 4.214 -1.676 1.690
F 1.505 2.036 0.000
F 2.709 -2.286 4.324
F 2.712 4.322 -2.258
F 1.502 0.000 2.066
F 4.214 1.676 1.690
F 0.000 2.646 2.633
F 2.712 4.322 2.258
F 1.502 0.000 6.582
F 1.505 6.608 0.000
F 2.709 2.286 4.324
F 0.000 5.998 2.633
```



Computed powder diffraction line list
Compound: La2PmSbN4
Radiation: Cu Ka
Structure: the PBE geometry in Alexandria

Peak list (10 most intense, 10 to 90 degrees two-theta, low angle first)
| 2theta | I/Imax |
| --- | --- |
| 25.7 | 23.7 |
| 28.2 | 48.5 |
| 28.8 | 100.0 |
| 29.5 | 49.1 |
| 33.5 | 20.1 |
| 35.8 | 85.4 |
| 41.2 | 28.1 |
| 47.0 | 19.0 |
| 49.0 | 34.5 |
| 58.3 | 18.1 |

Crystal structure
```
16
Lattice="1.857 -6.061 0.000 1.857 6.061 0.000 0.000 0.000 12.656" Properties=species:S:1:pos:R:3 pbc="T T T"
La 1.857 4.487 6.797
La 1.857 4.487 12.187
La 1.857 -4.487 0.469
La 1.857 -4.487 5.859
Pm 1.857 1.332 9.492
Pm 1.857 -1.332 3.164
Sb 1.857 1.889 3.164
Sb 1.857 -1.889 9.492
N 1.857 5.298 9.492
N 1.857 3.430 1.729
N 1.857 3.430 4.599
N 1.857 0.000 0.000
N 1.857 0.000 6.328
N 1.857 -3.430 8.057
N 1.857 -3.430 10.927
N 1.857 -5.298 3.164
```



Computed powder diffraction line list
Compound: LiTlSb
Radiation: Cu Ka
Structure: the PBE geometry in Alexandria

Peak list (10 most intense, 10 to 90 degrees two-theta, low angle first)
| 2theta | I/Imax |
| --- | --- |
| 20.7 | 99.9 |
| 23.7 | 40.8 |
| 24.2 | 49.3 |
| 27.7 | 47.4 |
| 30.9 | 100.0 |
| 31.2 | 85.0 |
| 33.0 | 72.5 |
| 33.3 | 79.6 |
| 38.4 | 59.3 |
| 42.2 | 45.3 |

Crystal structure
```
6
Lattice="4.894 0.000 0.000 -1.809 5.247 0.000 -1.852 -1.097 6.211" Properties=species:S:1:pos:R:3 pbc="T T T"
Li -0.073 0.941 1.236
Li 1.306 3.208 4.975
Tl -0.985 1.211 4.406
Tl 2.218 2.938 1.805
Sb 2.447 0.000 0.000
Sb 1.521 -0.549 3.105
```



Computed powder diffraction line list
Compound: Tb3Nd5Sm4
Radiation: Cu Ka
Structure: the PBE geometry in Alexandria

Peak list (10 most intense, 10 to 90 degrees two-theta, low angle first)
| 2theta | I/Imax |
| --- | --- |
| 30.1 | 100.0 |
| 34.9 | 50.7 |
| 50.2 | 30.2 |
| 50.3 | 6.0 |
| 59.6 | 21.6 |
| 59.7 | 18.0 |
| 62.6 | 9.3 |
| 81.6 | 5.9 |
| 81.7 | 5.9 |
| 84.3 | 8.2 |

Crystal structure
```
12
Lattice="6.292 0.000 0.000 -0.016 7.261 0.000 -0.019 -0.002 8.905" Properties=species:S:1:pos:R:3 pbc="T T T"
Tb 0.000 0.000 0.000
Tb 1.023 5.444 5.934
Tb 5.234 1.816 2.971
Nd -0.008 3.630 0.000
Nd 2.080 0.001 2.975
Nd 3.107 5.447 8.903
Nd 3.149 1.812 0.002
Nd 4.176 7.258 5.929
Sm 1.027 1.813 5.933
Sm 2.087 3.630 2.980
Sm 4.169 3.629 5.925
Sm 5.230 5.446 2.972
```



Computed powder diffraction line list
Compound: BiTeO5
Radiation: Cu Ka
Structure: the PBE geometry in Alexandria

Peak list (10 most intense, 10 to 90 degrees two-theta, low angle first)
| 2theta | I/Imax |
| --- | --- |
| 16.9 | 30.8 |
| 20.0 | 100.0 |
| 21.4 | 78.5 |
| 22.2 | 91.2 |
| 30.8 | 37.4 |
| 31.4 | 66.0 |
| 32.3 | 64.4 |
| 41.1 | 26.2 |
| 44.4 | 36.7 |
| 46.6 | 41.3 |

Crystal structure
```
28
Lattice="5.161 0.000 0.000 0.000 10.522 0.000 -2.956 0.000 9.014" Properties=species:S:1:pos:R:3 pbc="T T T"
Bi 0.747 1.001 1.092
Bi -0.731 4.260 5.599
Bi 2.936 6.262 3.415
Bi 1.458 9.521 7.922
Te -0.624 1.047 5.279
Te 0.854 4.214 0.772
Te 1.351 6.309 8.242
Te 2.829 9.475 3.735
O -0.283 5.889 1.051
O -1.761 9.894 5.558
O -1.733 2.186 6.256
O -0.255 3.075 1.749
O -0.276 5.611 3.998
O -1.754 10.172 8.505
O 0.375 2.550 4.646
O 1.853 2.712 0.139
O -0.108 5.448 7.449
O 1.370 10.335 2.942
O 0.835 0.187 6.071
O 2.313 5.074 1.564
O 0.352 7.811 8.875
O 1.830 7.973 4.368
O 3.960 0.350 0.508
O 2.481 4.911 5.015
O 2.461 7.447 7.264
O 3.939 8.336 2.757
O 3.966 0.628 3.456
O 2.488 4.633 7.963
```



Computed powder diffraction line list
Compound: Pm3Ni2Ir7
Radiation: Cu Ka
Structure: the PBE geometry in Alexandria

Peak list (10 most intense, 10 to 90 degrees two-theta, low angle first)
| 2theta | I/Imax |
| --- | --- |
| 31.2 | 28.1 |
| 34.1 | 41.5 |
| 39.1 | 60.8 |
| 39.6 | 35.1 |
| 39.8 | 100.0 |
| 42.3 | 28.7 |
| 42.9 | 48.9 |
| 46.5 | 25.3 |
| 65.0 | 24.7 |
| 70.6 | 33.5 |

Crystal structure
```
12
Lattice="2.670 1.541 8.539 -2.670 1.541 8.539 0.000 -3.083 8.539" Properties=species:S:1:pos:R:3 pbc="T T T"
Pm 0.000 0.000 0.000
Pm 0.000 0.000 3.595
Pm 0.000 0.000 22.024
Ni 0.000 0.000 8.537
Ni 0.000 0.000 17.082
Ir -1.340 -0.774 10.570
Ir 0.000 -1.547 15.048
Ir -1.340 0.774 15.048
Ir 0.000 0.000 12.809
Ir 1.340 -0.774 10.570
Ir 0.000 1.547 10.570
Ir 1.340 0.774 15.048
```